This entry pairs a crystal structure of LiTeAuO with its computed X-ray diffraction stick pattern. Radiation: Cu Kα X-rays. Structure: a crystal structure in OQMD, relaxed with GGA-PBE.
Lines closer than 0.1° are merged.

Structure:
Cell: 3.0807 7.4950 6.5696 Å, 90.00 90.00 90.00°
Space group Pmc2_1 (No. 26)
Asymmetric unit:
Li 0.0000 0.2126 0.0000 (multiplicity 2)
Te 0.0000 0.1657 0.5292 (multiplicity 2)
Au 0.5000 0.4919 0.2957 (multiplicity 2)
O 0.5000 0.3381 0.0396 (multiplicity 2)

Principal peaks in the range 2θ = 10–90°, in order of rising 2θ:
hkl 0 1 0, 11.8°, d = 7.495 Å, I = 100; hkl 0 1 1, 18.0°, d = 4.940 Å, I = 33; hkl 0 2 1, 27.4°, d = 3.255 Å, I = 22; hkl 0 1 2, 29.7°, d = 3.009 Å, I = 78; hkl 1 1 0, 31.4°, d = 2.849 Å, I = 78; hkl 1 1 1, 34.3°, d = 2.614 Å, I = 23; hkl 0 3 0, 35.9°, d = 2.498 Å, I = 35; hkl 0 2 2, 36.4°, d = 2.470 Å, I = 52; hkl 1 2 0, 37.8°, d = 2.380 Å, I = 42; hkl 1 0 2, 40.1°, d = 2.247 Å, I = 53; hkl 1 3 2, 55.0°, d = 1.671 Å, I = 50; hkl 0 3 4, 68.4°, d = 1.372 Å, I = 26